1.
The following is a simulated X-ray diffraction stick pattern of MnMoOsPt. It was derived from a PBE-relaxed structure, using Cu Kα (λ = 1.5418 Å).

Top 10 peaks for 2θ = 10–80°, by intensity:
d [Å]  intensity  h k l
2.096  100  4 0 -2
2.084  65  3 1 -1
2.201  51  4 0 0
4.242  45  0 0 1
2.121  35  0 0 2
2.375  34  1 1 -1
1.382  23  3 1 -3
1.245  18  8 0 -2
2.403  16  2 0 -2
2.609  15  1 1 0

Structure:
Cell: 9.977 2.731 4.806 Å, 90.00 118.04 90.00°
Space group Cm (No. 8)
One atom of each set of equivalent atoms:
Mn: 0.000 0.000 0.000 x2
Mo: 0.254 0.000 0.926 x2
Os: 0.003 0.500 0.503 x2
Pt: 0.252 0.500 0.421 x2

2.
The following is a simulated X-ray diffraction stick pattern of Mn6Mo6P7. It was derived from a PBE-relaxed structure, using Cu Kα (λ = 1.5418 Å).

Top 10 peaks for 2θ = 10–80°, by intensity:
d [Å]  intensity  h k l
2.251  100  2 1 1
3.066  26  1 0 1
2.096  20  3 0 1
1.773  15  1 4 0
1.913  14  2 2 1
1.654  12  0 0 2
2.345  12  2 2 0
1.863  11  1 3 1
1.335  11  1 5 1
1.211  10  5 2 1

Structure:
Cell: 9.3817 9.3817 3.3079 Å, 90.00 90.00 120.00°
Space group P-6 (No. 174)
One atom of each set of equivalent atoms:
Mn: 0.0158 0.7573 0.0000 x3
Mn: 0.2001 0.0110 0.5000 x3
Mo: 0.1315 0.5088 0.0000 x3
Mo: 0.5061 0.3636 0.5000 x3
P: 0.0000 0.0000 0.0000 x1
P: 0.1590 0.7197 0.5000 x3
P: 0.4307 0.1489 0.0000 x3

3.
The following is a simulated X-ray diffraction stick pattern of Mn2MoP12. It was derived from a PBE-relaxed structure, using Cu Kα (λ = 1.5418 Å).

Top 10 peaks for 2θ = 10–80°, by intensity:
d [Å]  intensity  h k l
2.568  100  4 0 -4
4.359  82  1 1 1
1.776  75  3 3 0
2.770  72  5 1 -1
2.941  71  3 1 -3
1.761  64  7 1 1
3.355  53  2 0 2
2.531  50  3 1 2
2.680  42  2 2 -1
1.770  41  6 2 -4

Structure:
Cell: 15.990 5.734 10.585 Å, 90.00 115.84 90.00°
Space group C2/c (No. 15)
One atom of each set of equivalent atoms:
Mn: 0.181 0.192 0.045 x8
Mo: 0.000 0.305 0.250 x4
P: 0.033 0.044 0.926 x8
P: 0.061 0.360 0.666 x8
P: 0.116 0.448 0.503 x8
P: 0.152 0.177 0.240 x8
P: 0.178 0.175 0.835 x8
P: 0.227 0.176 0.576 x8

4.
The following is a simulated X-ray diffraction stick pattern of MnSnMoP. It was derived from a PBE-relaxed structure, using Cu Kα (λ = 1.5418 Å).

Top 10 peaks for 2θ = 10–80°, by intensity:
d [Å]  intensity  h k l
2.666  100  2 0 0
2.073  89  1 1 2
2.333  77  1 1 -2
2.458  56  0 0 3
1.584  29  3 1 -1
7.369  20  0 0 1
1.331  19  3 1 2
1.369  16  2 0 4
1.622  16  2 0 3
1.589  15  0 2 0

Structure:
Cell: 5.484 3.177 7.591 Å, 90.00 103.89 90.00°
Space group Cm (No. 8)
One atom of each set of equivalent atoms:
Mn: 0.000 0.000 0.000 x2
Sn: 0.071 0.500 0.711 x2
Mo: 0.134 0.000 0.404 x2
P: 0.397 0.000 0.189 x2

5.
The following is a simulated X-ray diffraction stick pattern of PaMnMo2. It was derived from a PBE-relaxed structure, using Cu Kα (λ = 1.5418 Å).

Top 10 peaks for 2θ = 10–80°, by intensity:
d [Å]  intensity  h k l
2.497  100  0 1 2
2.527  92  1 0 1
1.881  78  1 0 10
3.114  45  0 0 9
2.055  44  0 1 8
1.798  38  0 1 11
1.465  35  1 1 0
2.336  34  0 0 12
1.241  27  1 1 12
1.326  21  1 1 9

Structure:
Cell: 2.9297 2.9297 28.0305 Å, 90.00 90.00 120.00°
Space group R-3m (No. 166, hexagonal axes)
One atom of each set of equivalent atoms:
Pa: 0.0000 0.0000 0.0000 x3
Mn: 0.0000 0.0000 0.5000 x3
Mo: 0.0000 0.0000 0.0964 x6

6.
The following is a simulated X-ray diffraction stick pattern of MnMoPd. It was derived from a PBE-relaxed structure, using Cu Kα (λ = 1.5418 Å).

Top 10 peaks for 2θ = 10–80°, by intensity:
d [Å]  intensity  h k l
2.203  100  1 0 3
1.913  36  1 1 0
2.444  18  1 0 2
1.348  13  1 1 6
1.353  11  2 0 0
1.260  11  1 0 8
2.278  10  0 0 5
1.899  10  0 0 6
1.465  10  1 1 5
1.240  1  1 1 7

Structure:
Cell: 2.705 2.705 11.391 Å, 90.00 90.00 90.00°
Space group P4/nmm (No. 129, origin choice 2)
One atom of each set of equivalent atoms:
Mn: 0.250 0.250 0.059 x2
Mo: 0.250 0.250 0.772 x2
Pd: 0.250 0.250 0.406 x2

7.
The following is a simulated X-ray diffraction stick pattern of Mn3MoPt12. It was derived from a PBE-relaxed structure, using Cu Kα (λ = 1.5418 Å).

Top 9 peaks for 2θ = 10–80°, by intensity:
d [Å]  intensity  h k l
2.276  100  1 1 4
1.971  49  2 0 0
1.394  32  2 2 0
3.942  12  1 0 0
2.788  10  1 0 4
1.763  6  1 0 8
1.609  4  2 1 4
1.314  3  2 1 8
1.247  2  1 0 12

Structure:
Cell: 3.942 3.942 15.777 Å, 90.00 90.00 90.00°
Space group P4/mmm (No. 123)
One atom of each set of equivalent atoms:
Mn: 0.000 0.000 0.000 x1
Mn: 0.000 0.000 0.246 x2
Mo: 0.000 0.000 0.500 x1
Pt: 0.000 0.500 0.124 x4
Pt: 0.000 0.500 0.376 x4
Pt: 0.500 0.500 0.000 x1
Pt: 0.500 0.500 0.250 x2
Pt: 0.500 0.500 0.500 x1

8.
The following is a simulated X-ray diffraction stick pattern of MnReMo2. It was derived from a PBE-relaxed structure, using Cu Kα (λ = 1.5418 Å).

Top 10 peaks for 2θ = 10–80°, by intensity:
d [Å]  intensity  h k l
2.194  100  2 2 0
2.190  66  0 2 1
4.390  36  1 1 0
2.173  32  2 0 -1
1.266  22  2 6 0
1.544  21  2 4 -1
1.270  11  2 4 1
1.557  11  2 0 1
1.260  11  4 2 -1
1.257  11  2 2 -2

Structure:
Cell: 5.356 8.771 2.669 Å, 90.00 108.75 90.00°
Space group C2/m (No. 12)
One atom of each set of equivalent atoms:
Mn: 0.000 0.000 0.000 x2
Re: 0.000 0.500 0.000 x2
Mo: 0.250 0.250 0.500 x4

9.
The following is a simulated X-ray diffraction stick pattern of Mn2ReMo. It was derived from a PBE-relaxed structure, using Cu Kα (λ = 1.5418 Å).

Top 10 peaks for 2θ = 10–80°, by intensity:
d [Å]  intensity  h k l
2.152  100  1 1 1
4.115  25  0 1 0
2.121  24  0 0 2
2.057  22  0 2 0
1.230  16  1 1 3
1.205  15  1 3 1
2.524  15  1 0 1
1.477  15  0 2 2
1.570  9  2 0 0
1.262  9  2 0 2

Structure:
Cell: 3.141 4.115 4.242 Å, 90.00 90.00 90.00°
Space group Pmmm (No. 47)
One atom of each set of equivalent atoms:
Mn: 0.000 0.000 0.000 x1
Mn: 0.500 0.000 0.500 x1
Re: 0.000 0.500 0.500 x1
Mo: 0.500 0.500 0.000 x1

10.
The following is a simulated X-ray diffraction stick pattern of MnMoRh3. It was derived from a PBE-relaxed structure, using Cu Kα (λ = 1.5418 Å).

Top 10 peaks for 2θ = 10–80°, by intensity:
d [Å]  intensity  h k l
2.261  100  1 2 2
2.029  65  0 2 -1
2.196  56  0 2 2
2.178  38  2 1 0
2.027  32  0 0 3
2.213  32  2 0 2
2.018  28  -1 2 1
1.292  26  2 2 -2
1.998  25  2 0 -1
2.108  25  1 0 3

Structure:
Cell: 5.017 5.042 6.738 Å, 71.25 70.06 79.58°
Space group P-1 (No. 2)
One atom of each set of equivalent atoms:
Mn: 0.202 0.447 0.105 x2
Mo: 0.107 0.817 0.405 x2
Rh: 0.000 0.000 0.000 x1
Rh: 0.306 0.359 0.672 x2
Rh: 0.431 0.821 0.694 x2
Rh: 0.500 0.000 0.000 x1

11.
The following is a simulated X-ray diffraction stick pattern of MnTcSbMo. It was derived from a PBE-relaxed structure, using Cu Kα (λ = 1.5418 Å).

Top 7 peaks for 2θ = 10–80°, by intensity:
d [Å]  intensity  h k l
2.230  100  2 2 0
1.288  32  4 2 2
1.577  16  4 0 0
3.642  7  1 1 1
1.902  4  3 1 1
1.447  2  3 3 1
1.214  1  5 1 1

Structure:
Cell: 6.308 6.308 6.308 Å, 90.00 90.00 90.00°
Space group F-43m (No. 216)
One atom of each set of equivalent atoms:
Mn: 0.000 0.000 0.000 x4
Tc: 0.250 0.250 0.250 x4
Sb: 0.000 0.000 0.500 x4
Mo: 0.250 0.250 0.750 x4

12.
The following is a simulated X-ray diffraction stick pattern of ScMn2Mo. It was derived from a PBE-relaxed structure, using Cu Kα (λ = 1.5418 Å).

Top 10 peaks for 2θ = 10–80°, by intensity:
d [Å]  intensity  h k l
2.171  100  2 2 0
2.150  97  0 2 1
2.251  56  2 0 -1
2.048  41  0 4 0
1.515  29  2 4 -1
4.343  27  1 1 0
1.288  17  4 2 -1
1.275  16  2 2 -2
1.541  16  2 0 1
1.231  14  2 4 1

Structure:
Cell: 5.494 8.193 2.710 Å, 90.00 111.23 90.00°
Space group C2/m (No. 12)
One atom of each set of equivalent atoms:
Sc: 0.000 0.000 0.000 x2
Mn: 0.250 0.250 0.500 x4
Mo: 0.000 0.500 0.000 x2